Sm4Cr3Fe31: theoretical powder XRD pattern (λ = 1.5418 Å (Cu Kα)), based on a DFT-relaxed cell (GGA-PBE, the Materials Project).
Kinematic intensities with the Lorentz-polarization factor, no thermal factor.

Largest 10 diffraction maxima, by intensity, 5° ≤ 2θ ≤ 70°:
42.86°, I 100.0
43.09°, I 88.9
43.01°, I 87.9
30.20°, I 70.4
43.60°, I 54.6
36.92°, I 45.7
37.96°, I 40.5
62.85°, I 24.4
43.87°, I 23.1
36.85°, I 22.7

Structural model:
```
Sm4Cr3Fe31
1.0
4.8086 -4.2148 0.0000
4.8086 4.2148 0.0000
-2.2315 0.0000 12.6366
Sm Cr Fe
4 3 31
Direct
0.0000 0.0000 0.0000 Sm
0.0016 0.0016 0.4968 Sm
0.3121 0.3121 0.3420 Sm
0.3159 0.3159 0.8423 Sm
0.5686 0.5686 0.2155 Cr
0.7446 0.7446 0.1256 Cr
0.7486 0.7486 0.6245 Cr
0.1551 0.6572 0.6698 Fe
0.1568 0.6561 0.1715 Fe
0.3154 0.8125 0.8413 Fe
0.3163 0.3163 0.5923 Fe
0.3167 0.8115 0.3408 Fe
0.3180 0.3180 0.0944 Fe
0.3585 0.9527 0.6708 Fe
0.3606 0.6552 0.5237 Fe
0.3620 0.6561 0.0248 Fe
0.3621 0.9505 0.1712 Fe
0.5009 0.9950 0.5002 Fe
0.5017 0.9974 0.0020 Fe
0.5649 0.5649 0.7178 Fe
0.6552 0.3606 0.5237 Fe
0.6552 0.9502 0.8186 Fe
0.6561 0.1568 0.1715 Fe
0.6561 0.3620 0.0248 Fe
0.6559 0.6559 0.4199 Fe
0.6572 0.1551 0.6698 Fe
0.6574 0.6574 0.9228 Fe
0.6570 0.9498 0.3170 Fe
0.8115 0.3167 0.3408 Fe
0.8125 0.3154 0.8413 Fe
0.9505 0.3621 0.1712 Fe
0.9502 0.6552 0.8186 Fe
0.9498 0.6570 0.3170 Fe
0.9527 0.3585 0.6708 Fe
0.9950 0.5009 0.5002 Fe
0.9946 0.9946 0.2474 Fe
0.9956 0.9956 0.7483 Fe
0.9974 0.5017 0.0020 Fe
```